# Na3Mn2P2C2O14
Simulated X-ray powder pattern, Cu Kα X-rays. Input: a DFT-relaxed cell (GGA+U, Alexandria).

Principal peaks in the range 2θ = 10–90°, sorted by position:
2θ/deg  I_rel
16.64  100.0
19.94  43.9
21.77  42.3
24.14  42.9
25.56  81.4
27.14  86.8
33.54  36.6
33.67  62.0
33.91  31.0
34.44  51.6
37.44  33.2
42.44  30.5

Crystal structure
a b c (Å): 5.2106 6.5723 18.1930
angles (deg): 90.00 92.00 90.00
Element x y z (fractional)
Na  0.0000  0.2224  0.0000
Na  0.0000  0.7776  0.5000
Na  0.5214  0.2660  0.7338
Na  0.5214  0.7340  0.2338
Na  0.5256  0.2560  0.2382
Na  0.5256  0.7440  0.7382
Mn  0.5476  0.4847  0.4466
Mn  0.5476  0.5153  0.9466
Mn  0.9765  0.0127  0.7987
Mn  0.9765  0.9873  0.2987
P  0.0395  0.4927  0.3355
P  0.0395  0.5073  0.8355
P  0.4760  0.0118  0.9074
P  0.4760  0.9882  0.4074
C  0.0387  0.0069  0.1649
C  0.0387  0.9931  0.6649
C  0.4803  0.4978  0.0782
C  0.4803  0.5022  0.5782
O  0.0663  0.0244  0.0985
O  0.0663  0.9756  0.5985
O  0.1793  0.0236  0.8901
O  0.1793  0.9764  0.3901
O  0.2300  0.0021  0.7151
O  0.2300  0.9979  0.2151
O  0.2931  0.4982  0.5277
O  0.2931  0.5018  0.0277
O  0.3387  0.4904  0.3518
O  0.3387  0.5096  0.8518
O  0.4479  0.4896  0.1460
O  0.4479  0.5104  0.6460
O  0.5494  0.1792  0.4521
O  0.5494  0.8208  0.9521
O  0.5542  0.1966  0.9561
O  0.5542  0.8034  0.4561
O  0.6112  0.0175  0.8324
O  0.6112  0.9825  0.3324
O  0.7064  0.4958  0.5484
O  0.7064  0.5042  0.0484
O  0.8139  0.0038  0.6972
O  0.8139  0.9962  0.1972
O  0.8999  0.4909  0.9087
O  0.8999  0.5091  0.4087
O  0.9589  0.3015  0.2912
O  0.9589  0.6985  0.7912
O  0.9718  0.3253  0.7842
O  0.9718  0.6747  0.2842